Record 1
This entry pairs a crystal structure of Zr2HCCl with its computed powder diffraction line list. Radiation: Cu Kα (weighted mean of Kα1 and Kα2). Structure: DFT lattice parameters and positions (PBE).

Main lines, in order of rising 2θ (10 to 90 degrees two-theta):
hkl	Position (°2θ)	Rel. int.
1 0 0	30.59	25
0 1 1	32.19	43
1 0 2	36.64	100
1 0 3	43.17	22
0 1 4	51.17	17
1 1 0	54.37	22
0 2 2	67.36	15
1 1 4	69.59	14

Crystal structure
Cell: 3.3750 3.3750 9.0185 Å, 90.00 90.00 120.00°
Space group P3m1 (No. 156)
Symmetry-distinct sites (fractional):
Zr 0.0000 0.0000 0.0000 [1 per cell]
Zr 0.3333 0.6667 0.2736 [1 per cell]
H 0.3333 0.6667 0.8895 [1 per cell]
C 0.6667 0.3333 0.1394 [1 per cell]
Cl 0.0000 0.0000 0.4748 [1 per cell]



Record 2
This entry pairs a crystal structure of HfCCl6 with its computed powder diffraction line list. Radiation: Cu Kα (weighted mean of Kα1 and Kα2). Structure: DFT lattice parameters and positions (PBE).

Main lines, in order of rising 2θ (10 to 90 degrees two-theta):
hkl	Position (°2θ)	Rel. int.
0 0 2	13.10	100
0 2 1	15.88	93
1 1 -1	16.66	52
1 1 1	17.63	36
0 2 3	24.53	22
1 3 2	29.81	47
2 0 -2	30.26	23
1 3 4	38.32	27

Crystal structure
Cell: 6.3155 12.2527 13.5664 Å, 90.00 95.10 90.00°
Space group C2/c (No. 15)
Symmetry-distinct sites (fractional):
Hf 0.0000 0.1673 0.2500 [4 per cell]
C 0.0000 0.4432 0.7500 [4 per cell]
Cl 0.1096 0.2948 0.3736 [8 per cell]
Cl 0.1561 0.3451 0.8404 [8 per cell]
Cl 0.2054 0.0217 0.3418 [8 per cell]